Diffraction record for Na5B8C2. The powder XRD pattern is theoretical, not measured: it uses the PBE geometry in Alexandria and Cu Kα X-rays.

Atomic structure:
a b c (Å): 5.091 8.632 7.761
angles (deg): 90.00 109.13 90.00
Positions (direct):
Na (0.000, 0.246, 0.000)
Na (0.000, 0.754, 0.000)
Na (0.204, 0.248, 0.401)
Na (0.204, 0.752, 0.401)
Na (0.404, 0.248, 0.799)
Na (0.404, 0.752, 0.799)
Na (0.601, 0.249, 0.199)
Na (0.601, 0.751, 0.199)
Na (0.804, 0.247, 0.599)
Na (0.804, 0.753, 0.599)
B (0.064, 0.000, 0.797)
B (0.075, 0.500, 0.781)
B (0.142, 0.000, 0.590)
B (0.266, 0.000, 0.201)
B (0.267, 0.500, 0.208)
B (0.321, 0.500, 0.003)
B (0.357, 0.000, 0.000)
B (0.465, 0.500, 0.599)
B (0.544, 0.500, 0.396)
B (0.552, 0.000, 0.409)
B (0.657, 0.500, 0.991)
B (0.724, 0.000, 0.798)
B (0.747, 0.500, 0.803)
B (0.894, 0.500, 0.417)
B (0.919, 0.500, 0.195)
B (0.925, 0.000, 0.201)
C (0.148, 0.500, 0.599)
C (0.469, 0.000, 0.600)
C (0.665, 0.000, 0.000)
C (0.868, 0.000, 0.399)

Largest 9 diffraction maxima, sorted by position, 2θ = 5–70°:
two_theta  Rel. int.
20.58  1.4
35.30  19.3
41.21  100.0
41.86  24.6
55.88  10.5
63.32  11.6
63.43  5.8
67.34  1.3
67.45  0.6



Diffraction record for Na10B17C3. The powder XRD pattern is theoretical, not measured: it uses the PBE geometry in Alexandria and Cu Kα X-rays.

Atomic structure:
a b c (Å): 2.961 2.961 43.078
angles (deg): 90.00 90.00 120.00
Positions (direct):
Na (0.000, 0.000, 0.049)
Na (0.000, 0.000, 0.150)
Na (0.000, 0.000, 0.248)
Na (0.000, 0.000, 0.349)
Na (0.000, 0.000, 0.450)
Na (0.000, 0.000, 0.550)
Na (0.000, 0.000, 0.651)
Na (0.000, 0.000, 0.752)
Na (0.000, 0.000, 0.850)
Na (0.000, 0.000, 0.951)
B (0.333, 0.667, 0.000)
B (0.333, 0.667, 0.100)
B (0.333, 0.667, 0.199)
B (0.333, 0.667, 0.298)
B (0.333, 0.667, 0.399)
B (0.333, 0.667, 0.500)
B (0.333, 0.667, 0.601)
B (0.333, 0.667, 0.702)
B (0.333, 0.667, 0.801)
B (0.333, 0.667, 0.900)
B (0.667, 0.333, 0.100)
B (0.667, 0.333, 0.298)
B (0.667, 0.333, 0.399)
B (0.667, 0.333, 0.500)
B (0.667, 0.333, 0.601)
B (0.667, 0.333, 0.702)
B (0.667, 0.333, 0.900)
C (0.667, 0.333, 0.000)
C (0.667, 0.333, 0.199)
C (0.667, 0.333, 0.801)

Largest 8 diffraction maxima, sorted by position, 2θ = 5–70°:
two_theta  Rel. int.
10.27  0.5
20.62  1.6
35.00  19.6
40.96  100.0
41.94  23.5
55.74  10.3
62.77  17.9
66.83  1.8



Diffraction record for Na10B17C3. The powder XRD pattern is theoretical, not measured: it uses the PBE geometry in Alexandria and Cu Kα X-rays.

Atomic structure:
a b c (Å): 5.081 7.845 9.137
angles (deg): 76.00 74.01 71.88
Positions (direct):
Na (0.000, 0.000, 0.000)
Na (0.002, 0.500, 0.499)
Na (0.196, 0.601, 0.003)
Na (0.201, 0.099, 0.501)
Na (0.398, 0.701, 0.498)
Na (0.404, 0.200, 0.999)
Na (0.598, 0.800, 0.002)
Na (0.604, 0.301, 0.500)
Na (0.799, 0.901, 0.500)
Na (0.804, 0.399, 0.000)
B (0.038, 0.849, 0.750)
B (0.041, 0.349, 0.250)
B (0.168, 0.764, 0.250)
B (0.182, 0.251, 0.750)
B (0.232, 0.458, 0.750)
B (0.396, 0.330, 0.250)
B (0.425, 0.556, 0.249)
B (0.429, 0.033, 0.750)
B (0.551, 0.961, 0.250)
B (0.581, 0.448, 0.751)
B (0.608, 0.668, 0.750)
B (0.762, 0.053, 0.750)
B (0.776, 0.543, 0.250)
B (0.823, 0.756, 0.250)
B (0.839, 0.245, 0.751)
B (0.962, 0.648, 0.749)
B (0.968, 0.137, 0.250)
C (0.231, 0.955, 0.250)
C (0.357, 0.851, 0.750)
C (0.641, 0.146, 0.251)

Largest 10 diffraction maxima, sorted by position, 2θ = 5–70°:
two_theta  Rel. int.
34.67  21.5
35.09  19.1
35.33  18.3
40.63  98.6
41.00  100.0
41.21  99.7
41.75  72.5
62.26  17.8
62.73  17.4
63.54  16.9



Diffraction record for Na10B17C3. The powder XRD pattern is theoretical, not measured: it uses the PBE geometry in Alexandria and Cu Kα X-rays.

Atomic structure:
a b c (Å): 8.622 13.057 13.057
angles (deg): 12.91 90.00 90.00
Positions (direct):
Na (0.248, 0.000, 0.000)
Na (0.248, 0.198, 0.198)
Na (0.249, 0.599, 0.599)
Na (0.251, 0.798, 0.798)
Na (0.252, 0.399, 0.399)
Na (0.748, 0.399, 0.399)
Na (0.749, 0.798, 0.798)
Na (0.751, 0.599, 0.599)
Na (0.752, 0.000, 0.000)
Na (0.752, 0.198, 0.198)
B (0.000, 0.065, 0.065)
B (0.000, 0.133, 0.133)
B (0.000, 0.265, 0.265)
B (0.000, 0.333, 0.333)
B (0.000, 0.465, 0.465)
B (0.000, 0.533, 0.533)
B (0.000, 0.665, 0.665)
B (0.000, 0.733, 0.733)
B (0.000, 0.865, 0.865)
B (0.000, 0.933, 0.933)
B (0.500, 0.069, 0.069)
B (0.500, 0.257, 0.257)
B (0.500, 0.327, 0.327)
B (0.500, 0.476, 0.476)
B (0.500, 0.663, 0.663)
B (0.500, 0.867, 0.867)
B (0.500, 0.935, 0.935)
C (0.500, 0.132, 0.132)
C (0.500, 0.537, 0.537)
C (0.500, 0.727, 0.727)

Largest 10 diffraction maxima, sorted by position, 2θ = 5–70°:
two_theta  Rel. int.
20.60  2.5
34.57  10.6
35.12  19.6
40.58  51.0
41.06  100.0
41.91  36.2
55.42  5.6
55.80  10.6
62.30  17.5
63.36  8.7



Diffraction record for Na5B8C2. The powder XRD pattern is theoretical, not measured: it uses the PBE geometry in Alexandria and Cu Kα X-rays.

Atomic structure:
a b c (Å): 7.757 7.757 10.431
angles (deg): 121.97 121.97 38.31
Positions (direct):
Na (0.001, 0.001, 0.252)
Na (0.196, 0.202, 0.749)
Na (0.200, 0.200, 0.252)
Na (0.397, 0.404, 0.254)
Na (0.399, 0.398, 0.747)
Na (0.596, 0.603, 0.746)
Na (0.602, 0.601, 0.253)
Na (0.798, 0.804, 0.251)
Na (0.800, 0.800, 0.748)
Na (0.999, 0.999, 0.748)
B (0.019, 0.386, 0.001)
B (0.048, 0.361, 0.500)
B (0.162, 0.838, 0.000)
B (0.220, 0.579, 0.500)
B (0.241, 0.556, 0.001)
B (0.353, 0.038, 0.999)
B (0.421, 0.780, 0.500)
B (0.444, 0.759, 0.999)
B (0.561, 0.237, 0.501)
B (0.590, 0.228, 0.000)
B (0.614, 0.981, 0.999)
B (0.639, 0.952, 0.500)
B (0.763, 0.439, 0.499)
B (0.772, 0.410, 0.000)
B (0.853, 0.147, 0.500)
B (0.962, 0.647, 0.001)
C (0.161, 0.839, 0.500)
C (0.365, 0.035, 0.500)
C (0.845, 0.155, 0.000)
C (0.965, 0.635, 0.500)

Largest 9 diffraction maxima, sorted by position, 2θ = 5–70°:
two_theta  Rel. int.
20.56  1.4
35.31  19.3
41.21  100.0
41.83  24.7
55.86  10.5
63.33  11.6
63.48  5.8
67.35  1.3
67.49  0.6



Diffraction record for Na5B8C2. The powder XRD pattern is theoretical, not measured: it uses the PBE geometry in Alexandria and Cu Kα X-rays.

Atomic structure:
a b c (Å): 11.793 11.793 10.163
angles (deg): 106.10 106.10 13.74
Positions (direct):
Na (0.000, 0.000, 0.000)
Na (0.100, 0.100, 0.698)
Na (0.202, 0.202, 0.401)
Na (0.300, 0.300, 0.102)
Na (0.398, 0.398, 0.798)
Na (0.500, 0.500, 0.500)
Na (0.602, 0.602, 0.202)
Na (0.700, 0.700, 0.898)
Na (0.798, 0.798, 0.599)
Na (0.900, 0.900, 0.302)
B (0.027, 0.027, 0.305)
B (0.120, 0.120, 0.990)
B (0.184, 0.184, 0.118)
B (0.209, 0.209, 0.666)
B (0.276, 0.276, 0.799)
B (0.382, 0.382, 0.516)
B (0.422, 0.422, 0.097)
B (0.486, 0.486, 0.223)
B (0.514, 0.514, 0.777)
B (0.578, 0.578, 0.903)
B (0.618, 0.618, 0.484)
B (0.724, 0.724, 0.201)
B (0.791, 0.791, 0.334)
B (0.816, 0.816, 0.882)
B (0.880, 0.880, 0.010)
B (0.973, 0.973, 0.695)
C (0.086, 0.086, 0.423)
C (0.321, 0.321, 0.395)
C (0.679, 0.679, 0.605)
C (0.914, 0.914, 0.577)

Largest 10 diffraction maxima, sorted by position, 2θ = 5–70°:
two_theta  Rel. int.
33.99  13.7
36.09  16.6
39.95  24.2
40.10  24.1
41.70  37.6
41.87  100.0
56.25  5.1
56.37  4.7
62.21  17.0
66.22  9.1



Diffraction record for Na10B17C3. The powder XRD pattern is theoretical, not measured: it uses the PBE geometry in Alexandria and Cu Kα X-rays.

Atomic structure:
a b c (Å): 8.693 13.446 13.446
angles (deg): 12.03 90.00 90.00
Positions (direct):
Na (0.248, 0.000, 0.000)
Na (0.249, 0.198, 0.198)
Na (0.250, 0.599, 0.599)
Na (0.251, 0.400, 0.400)
Na (0.252, 0.798, 0.798)
Na (0.748, 0.798, 0.798)
Na (0.749, 0.400, 0.400)
Na (0.750, 0.599, 0.599)
Na (0.751, 0.198, 0.198)
Na (0.752, 0.000, 0.000)
B (0.000, 0.128, 0.128)
B (0.000, 0.324, 0.324)
B (0.000, 0.472, 0.472)
B (0.000, 0.538, 0.538)
B (0.000, 0.668, 0.668)
B (0.000, 0.734, 0.734)
B (0.000, 0.866, 0.866)
B (0.000, 0.929, 0.929)
B (0.500, 0.061, 0.061)
B (0.500, 0.126, 0.126)
B (0.500, 0.268, 0.268)
B (0.500, 0.330, 0.330)
B (0.500, 0.473, 0.473)
B (0.500, 0.665, 0.665)
B (0.500, 0.728, 0.728)
B (0.500, 0.871, 0.871)
B (0.500, 0.934, 0.934)
C (0.000, 0.068, 0.068)
C (0.000, 0.266, 0.266)
C (0.500, 0.532, 0.532)

Largest 10 diffraction maxima, sorted by position, 2θ = 5–70°:
two_theta  Rel. int.
20.43  2.5
33.51  14.2
36.01  16.5
39.57  49.7
41.56  37.3
41.76  100.0
54.40  7.0
56.14  9.5
61.54  18.2
66.32  7.5



Diffraction record for Na5B8C2. The powder XRD pattern is theoretical, not measured: it uses the PBE geometry in Alexandria and Cu Kα X-rays.

Atomic structure:
a b c (Å): 8.621 13.210 13.210
angles (deg): 12.37 90.00 90.00
Positions (direct):
Na (0.246, 0.000, 0.000)
Na (0.247, 0.600, 0.600)
Na (0.247, 0.799, 0.799)
Na (0.249, 0.400, 0.400)
Na (0.250, 0.199, 0.199)
Na (0.750, 0.199, 0.199)
Na (0.751, 0.400, 0.400)
Na (0.753, 0.600, 0.600)
Na (0.753, 0.799, 0.799)
Na (0.754, 0.000, 0.000)
B (0.000, 0.073, 0.073)
B (0.000, 0.260, 0.260)
B (0.000, 0.331, 0.331)
B (0.000, 0.464, 0.464)
B (0.000, 0.533, 0.533)
B (0.000, 0.666, 0.666)
B (0.000, 0.870, 0.870)
B (0.500, 0.125, 0.125)
B (0.500, 0.268, 0.268)
B (0.500, 0.331, 0.331)
B (0.500, 0.471, 0.471)
B (0.500, 0.537, 0.537)
B (0.500, 0.665, 0.665)
B (0.500, 0.727, 0.727)
B (0.500, 0.870, 0.870)
B (0.500, 0.935, 0.935)
C (0.000, 0.135, 0.135)
C (0.000, 0.730, 0.730)
C (0.000, 0.933, 0.933)
C (0.500, 0.066, 0.066)

Largest 10 diffraction maxima, sorted by position, 2θ = 5–70°:
two_theta  Rel. int.
34.13  12.4
35.89  17.6
40.20  51.1
41.74  100.0
41.92  37.2
55.12  6.2
56.34  9.8
62.25  18.2
65.62  7.9
66.32  2.3



Diffraction record for Na10B17C3. The powder XRD pattern is theoretical, not measured: it uses the PBE geometry in Alexandria and Cu Kα X-rays.

Atomic structure:
a b c (Å): 7.898 7.898 10.510
angles (deg): 122.63 122.63 37.56
Positions (direct):
Na (0.001, 0.001, 0.251)
Na (0.198, 0.202, 0.750)
Na (0.199, 0.199, 0.248)
Na (0.397, 0.402, 0.249)
Na (0.402, 0.399, 0.751)
Na (0.598, 0.603, 0.751)
Na (0.601, 0.598, 0.249)
Na (0.798, 0.802, 0.250)
Na (0.801, 0.801, 0.752)
Na (0.999, 0.999, 0.749)
B (0.020, 0.384, 0.999)
B (0.185, 0.815, 0.000)
B (0.231, 0.563, 0.001)
B (0.241, 0.570, 0.500)
B (0.357, 0.038, 0.999)
B (0.383, 0.020, 0.500)
B (0.430, 0.759, 0.500)
B (0.437, 0.769, 0.999)
B (0.578, 0.230, 0.001)
B (0.609, 0.006, 0.500)
B (0.616, 0.980, 0.001)
B (0.770, 0.422, 0.999)
B (0.836, 0.164, 0.500)
B (0.842, 0.158, 0.000)
B (0.962, 0.643, 0.001)
B (0.980, 0.617, 0.500)
B (0.994, 0.391, 0.500)
C (0.173, 0.827, 0.500)
C (0.577, 0.233, 0.500)
C (0.767, 0.423, 0.500)

Largest 10 diffraction maxima, sorted by position, 2θ = 5–70°:
two_theta  Rel. int.
20.56  2.5
34.80  22.3
35.30  8.4
40.76  100.0
41.20  53.9
41.83  37.1
55.51  11.8
55.86  4.8
62.06  9.3
63.04  17.6



> Which formula does entry 2 have?

Na10B17C3